Structure and calculated powder X-ray diffraction pattern of BeGaS (a DFT-relaxed cell (GGA-PBE, Alexandria); Cu Kα (λ = 1.5418 Å)).

Atomic structure:
```
data_BeGaS
_symmetry_space_group_name_H-M 'P m n 21'
_symmetry_Int_Tables_number 31
_cell_length_a 3.339
_cell_length_b 6.100
_cell_length_c 5.272
_cell_angle_alpha 90.00
_cell_angle_beta 90.00
_cell_angle_gamma 90.00
loop_
_symmetry_equiv_pos_as_xyz
'x,y,z'
'-x+1/2,-y,z+1/2'
'-x,y,z'
'x+1/2,-y,z+1/2'
loop_
_atom_site_label
_atom_site_type_symbol
_atom_site_fract_x
_atom_site_fract_y
_atom_site_fract_z
Be1 Be 0.000 0.119 0.000
Ga1 Ga 0.000 0.479 0.759
S1 S 0.000 0.887 0.717
```

The 10 most intense peaks (2θ from 10° to 90°), by angle:
two_theta	I/Imax
14.5	44
29.3	32
31.7	100
34.0	55
35.0	32
37.2	19
43.7	41
45.5	18
55.7	24
66.3	14

=====

Structure and calculated powder X-ray diffraction pattern of BeGaSe2 (a DFT-relaxed cell (GGA-PBE, Alexandria); Cu Kα (λ = 1.5418 Å)).

Atomic structure:
```
data_BeGaSe2
_symmetry_space_group_name_H-M 'I -4 2 d'
_symmetry_Int_Tables_number 122
_symmetry_space_group_name_Hall 'I -4 2bw'
_cell_length_a 5.770
_cell_length_b 5.770
_cell_length_c 10.796
_cell_angle_alpha 90.00
_cell_angle_beta 90.00
_cell_angle_gamma 90.00
loop_
_atom_site_label
_atom_site_type_symbol
_atom_site_fract_x
_atom_site_fract_y
_atom_site_fract_z
Be1 Be 0.000 0.000 0.000
Ga1 Ga 0.000 0.000 0.500
Se1 Se 0.189 0.250 0.125
```

The 10 most intense peaks (2θ from 10° to 90°), by angle:
two_theta	I/Imax
27.4	100
29.2	18
35.8	32
44.4	18
46.1	39
48.1	11
53.0	19
55.8	13
63.6	11
73.7	7

=====

Structure and calculated powder X-ray diffraction pattern of Sm2Be4GaSi3 (a DFT-relaxed cell (GGA-PBE, Alexandria); Cu Kα (λ = 1.5418 Å)).

Atomic structure:
```
data_Sm2Be4GaSi3
_symmetry_space_group_name_H-M 'P -4 m 2'
_symmetry_Int_Tables_number 115
_cell_length_a 3.976
_cell_length_b 3.976
_cell_length_c 9.623
_cell_angle_alpha 90.00
_cell_angle_beta 90.00
_cell_angle_gamma 90.00
loop_
_symmetry_equiv_pos_as_xyz
'x,y,z'
'y,-x,-z'
'-x,-y,z'
'-y,x,-z'
'-x,y,z'
'-y,-x,-z'
'x,-y,z'
'y,x,-z'
loop_
_atom_site_label
_atom_site_type_symbol
_atom_site_fract_x
_atom_site_fract_y
_atom_site_fract_z
Sm1 Sm 0.000 0.500 0.246
Be1 Be 0.000 0.000 0.000
Be2 Be 0.000 0.500 0.635
Be3 Be 0.500 0.500 0.000
Ga1 Ga 0.000 0.000 0.500
Si1 Si 0.000 0.500 0.872
Si2 Si 0.500 0.500 0.500
```

The 10 most intense peaks (2θ from 10° to 90°), by angle:
two_theta	I/Imax
18.4	26
24.2	100
31.8	26
36.0	69
37.0	93
45.6	34
52.3	26
52.9	24
59.4	32
78.7	21

=====

Structure and calculated powder X-ray diffraction pattern of Tb2BeGa3 (a DFT-relaxed cell (GGA-PBE, Alexandria); Cu Kα (λ = 1.5418 Å)).

Atomic structure:
```
data_Tb2BeGa3
_symmetry_space_group_name_H-M 'F m m m'
_symmetry_Int_Tables_number 69
_symmetry_space_group_name_Hall '-F 2 2'
_cell_length_a 7.528
_cell_length_b 8.483
_cell_length_c 14.743
_cell_angle_alpha 90.00
_cell_angle_beta 90.00
_cell_angle_gamma 90.00
loop_
_atom_site_label
_atom_site_type_symbol
_atom_site_fract_x
_atom_site_fract_y
_atom_site_fract_z
Tb1 Tb 0.246 0.000 0.000
Tb2 Tb 0.250 0.250 0.250
Be1 Be 0.000 0.000 0.333
Ga1 Ga 0.000 0.000 0.174
Ga2 Ga 0.000 0.239 0.413
```

The 10 most intense peaks (2θ from 10° to 90°), by angle:
two_theta	I/Imax
24.2	27
34.1	100
42.5	28
42.6	14
48.4	10
55.5	8
55.6	16
66.4	22
72.4	14
81.0	8

=====

Structure and calculated powder X-ray diffraction pattern of Tb2BeGa3 (a DFT-relaxed cell (GGA-PBE, Alexandria); Cu Kα (λ = 1.5418 Å)).

Atomic structure:
```
data_Tb2BeGa3
_symmetry_space_group_name_H-M 'P m m 2'
_symmetry_Int_Tables_number 25
_cell_length_a 3.855
_cell_length_b 4.216
_cell_length_c 7.292
_cell_angle_alpha 90.00
_cell_angle_beta 90.00
_cell_angle_gamma 90.00
loop_
_symmetry_equiv_pos_as_xyz
'x,y,z'
'-x,-y,z'
'-x,y,z'
'x,-y,z'
loop_
_atom_site_label
_atom_site_type_symbol
_atom_site_fract_x
_atom_site_fract_y
_atom_site_fract_z
Tb1 Tb 0.000 0.000 0.000
Tb2 Tb 0.000 0.500 0.491
Be1 Be 0.500 0.000 0.324
Ga1 Ga 0.500 0.000 0.643
Ga2 Ga 0.500 0.500 0.177
Ga3 Ga 0.500 0.500 0.831
```

The 10 most intense peaks (2θ from 10° to 90°), by angle:
two_theta	I/Imax
24.4	27
33.8	100
42.9	40
47.2	10
53.8	6
55.7	23
65.7	22
72.8	21
78.7	6
79.0	9

=====

Structure and calculated powder X-ray diffraction pattern of Be17GaTc (a DFT-relaxed cell (GGA-PBE, Alexandria); Cu Kα (λ = 1.5418 Å)).

Atomic structure:
```
data_Be17GaTc
_symmetry_space_group_name_H-M 'R 3 m'
_symmetry_Int_Tables_number 160
_symmetry_space_group_name_Hall 'R 3 -2"'
_cell_length_a 7.2410
_cell_length_b 7.2410
_cell_length_c 10.9781
_cell_angle_alpha 90.00
_cell_angle_beta 90.00
_cell_angle_gamma 120.00
loop_
_atom_site_label
_atom_site_type_symbol
_atom_site_fract_x
_atom_site_fract_y
_atom_site_fract_z
Be1 Be 0.0000 0.0000 0.0621
Be2 Be 0.0000 0.0000 0.2618
Be3 Be 0.9995 0.3086 0.1610
Be4 Be 0.0048 0.5024 0.3178
Be5 Be 0.0064 0.5032 0.0000
Be6 Be 0.1696 0.3392 0.9989
Ga1 Ga 0.0000 0.0000 0.7656
Tc1 Tc 0.0000 0.0000 0.4897
```

The 10 most intense peaks (2θ from 10° to 90°), by angle:
two_theta	I/Imax
16.3	100
24.6	80
29.6	27
34.9	64
35.7	39
38.9	26
43.3	32
43.8	25
50.3	37
50.9	29

=====

Structure and calculated powder X-ray diffraction pattern of Be2GaTe4 (a DFT-relaxed cell (GGA-PBE, Alexandria); Cu Kα (λ = 1.5418 Å)).

Atomic structure:
```
data_Be2GaTe4
_symmetry_space_group_name_H-M 'I -4 2 m'
_symmetry_Int_Tables_number 121
_symmetry_space_group_name_Hall 'I -4 2'
_cell_length_a 5.612
_cell_length_b 5.612
_cell_length_c 11.886
_cell_angle_alpha 90.00
_cell_angle_beta 90.00
_cell_angle_gamma 90.00
loop_
_atom_site_label
_atom_site_type_symbol
_atom_site_fract_x
_atom_site_fract_y
_atom_site_fract_z
Be1 Be 0.000 0.500 0.250
Ga1 Ga 0.000 0.000 0.000
Te1 Te 0.226 0.226 0.370
```

The 10 most intense peaks (2θ from 10° to 90°), by angle:
two_theta	I/Imax
27.0	100
30.1	13
31.9	20
36.6	10
44.4	33
45.7	15
51.6	16
53.9	24
71.3	10
83.6	7

=====

Structure and calculated powder X-ray diffraction pattern of Be2GaTe4 (a DFT-relaxed cell (GGA-PBE, Alexandria); Cu Kα (λ = 1.5418 Å)).

Atomic structure:
```
data_Be2GaTe4
_symmetry_space_group_name_H-M 'P -4 2 m'
_symmetry_Int_Tables_number 111
_cell_length_a 5.638
_cell_length_b 5.638
_cell_length_c 5.933
_cell_angle_alpha 90.00
_cell_angle_beta 90.00
_cell_angle_gamma 90.00
loop_
_symmetry_equiv_pos_as_xyz
'x,y,z'
'y,-x,-z'
'-x,-y,z'
'-y,x,-z'
'x,-y,-z'
'y,x,z'
'-x,y,-z'
'-y,-x,z'
loop_
_atom_site_label
_atom_site_type_symbol
_atom_site_fract_x
_atom_site_fract_y
_atom_site_fract_z
Be1 Be 0.000 0.500 0.000
Ga1 Ga 0.000 0.000 0.500
Te1 Te 0.271 0.271 0.760
```

The 10 most intense peaks (2θ from 10° to 90°), by angle:
two_theta	I/Imax
26.9	100
30.1	13
31.7	21
44.3	33
45.5	15
51.6	16
53.7	25
55.5	7
71.2	10
83.3	8